ZnCoTcMo: simulated powder XRD pattern (Cu Kα X-rays), based on the GGA-PBE geometry in OQMD.
Intensities are scaled so that the largest is 1000.

Main lines, in order of rising 2θ (15° ≤ 2θ ≤ 90°):
- 25.46°, d = 3.498 Å, I = 51
- 42.18°, d = 2.142 Å, I = 1000
- 49.92°, d = 1.827 Å, I = 24
- 61.19°, d = 1.515 Å, I = 158
- 67.37°, d = 1.390 Å, I = 10
- 77.12°, d = 1.237 Å, I = 314

Cell and atoms:
```
data_ZnCoTcMo
_chemical_formula_sum 'Zn4 Co4 Tc4 Mo4'
_cell_length_a 6.059
_cell_length_b 6.059
_cell_length_c 6.059
_cell_angle_alpha 90.00
_cell_angle_beta 90.00
_cell_angle_gamma 90.00
_space_group_name_H-M_alt 'F -4 3 m'
_space_group_IT_number 216
_space_group_name_Hall 'F -4 2 3'
loop_
_atom_site_label
_atom_site_fract_x
_atom_site_fract_y
_atom_site_fract_z
Zn1 0.000 0.000 0.000
Co1 0.250 0.250 0.250
Tc1 0.000 0.000 0.500
Mo1 0.250 0.250 0.750
```